The following is a simulated powder XRD pattern of TmNi5As3. It was derived from a structure optimized by DFT (GGA-PBE), using Cu Kα (λ = 1.5418 Å).
No peak broadening, texture or thermal motion is included.

Structure:
```
data_TmNi5As3
_cell_length_a 6.536
_cell_length_b 6.536
_cell_length_c 11.175
_cell_angle_alpha 90.00
_cell_angle_beta 90.00
_cell_angle_gamma 146.67
_space_group_name_H-M_alt 'P 1'
_space_group_IT_number 1
loop_
_space_group_symop_operation_xyz
'x,y,z'
loop_
_atom_site_label
_atom_site_type_symbol
_atom_site_fract_x
_atom_site_fract_y
_atom_site_fract_z
_atom_site_occupancy
Tm1 Tm 0.198 0.802 0.750 1
Tm2 Tm 0.802 0.198 0.250 1
Ni1 Ni 0.000 0.000 0.000 1
Ni2 Ni 0.000 0.000 0.500 1
Ni3 Ni 0.196 0.804 0.053 1
Ni4 Ni 0.196 0.804 0.447 1
Ni5 Ni 0.435 0.565 0.637 1
Ni6 Ni 0.435 0.565 0.863 1
Ni7 Ni 0.565 0.435 0.137 1
Ni8 Ni 0.565 0.435 0.363 1
Ni9 Ni 0.804 0.196 0.553 1
Ni10 Ni 0.804 0.196 0.947 1
As1 As 0.116 0.884 0.250 1
As2 As 0.382 0.618 0.065 1
As3 As 0.382 0.618 0.435 1
As4 As 0.618 0.382 0.565 1
As5 As 0.618 0.382 0.935 1
As6 As 0.884 0.116 0.750 1
```

Main lines, by intensity (10 to 90 degrees two-theta):
2θ/deg  I_rel
34.70  100
43.46  78
40.93  74
50.11  65
48.58  63
35.99  62
29.62  58
32.07  41
72.36  39
52.47  37



The following is a simulated powder XRD pattern of SnH6CBr3N3. It was derived from a structure optimized by DFT (GGA-PBE), using Cu Kα (λ = 1.5418 Å).
No peak broadening, texture or thermal motion is included.

Structure:
```
data_SnH6CBr3N3
_cell_length_a 7.102
_cell_length_b 8.253
_cell_length_c 9.147
_cell_angle_alpha 89.81
_cell_angle_beta 88.86
_cell_angle_gamma 89.71
_space_group_name_H-M_alt 'P 1'
_space_group_IT_number 1
loop_
_space_group_symop_operation_xyz
'x,y,z'
loop_
_atom_site_label
_atom_site_type_symbol
_atom_site_fract_x
_atom_site_fract_y
_atom_site_fract_z
_atom_site_occupancy
Sn1 Sn 0.000 0.000 0.000 1
Sn2 Sn 0.053 0.499 0.498 1
H1 H 0.295 0.582 0.108 1
H2 H 0.298 0.443 0.870 1
H3 H 0.314 0.951 0.639 1
H4 H 0.324 0.079 0.388 1
H5 H 0.494 0.547 0.211 1
H6 H 0.503 0.467 0.768 1
H7 H 0.519 0.981 0.734 1
H8 H 0.529 0.035 0.289 1
H9 H 0.791 0.564 0.067 1
H10 H 0.793 0.452 0.905 1
H11 H 0.808 0.955 0.598 1
H12 H 0.814 0.055 0.430 1
C1 C 0.530 0.506 0.990 1
C2 C 0.549 0.006 0.512 1
Br1 Br 0.007 0.743 0.198 1
Br2 Br 0.018 0.300 0.743 1
Br3 Br 0.025 0.800 0.758 1
Br4 Br 0.038 0.243 0.302 1
Br5 Br 0.434 0.508 0.492 1
Br6 Br 0.621 0.013 0.005 1
N1 N 0.433 0.546 0.111 1
N2 N 0.438 0.469 0.869 1
N3 N 0.452 0.983 0.637 1
N4 N 0.457 0.034 0.387 1
N5 N 0.718 0.502 0.990 1
N6 N 0.737 0.999 0.510 1
```

Main lines, by intensity (10 to 90 degrees two-theta):
2θ/deg  I_rel
29.15  100
14.46  86
12.47  75
25.07  71
39.09  35
31.28  29
34.03  19
31.97  18
29.24  16
19.26  16



The following is a simulated powder XRD pattern of K2NdCd2S4. It was derived from a structure optimized by DFT (GGA-PBE), using Cu Kα (λ = 1.5418 Å).
No peak broadening, texture or thermal motion is included.

Structure:
```
data_K2NdCd2S4
_cell_length_a 8.432
_cell_length_b 8.432
_cell_length_c 8.092
_cell_angle_alpha 113.35
_cell_angle_beta 113.35
_cell_angle_gamma 28.11
_space_group_name_H-M_alt 'P 1'
_space_group_IT_number 1
loop_
_space_group_symop_operation_xyz
'x,y,z'
loop_
_atom_site_label
_atom_site_type_symbol
_atom_site_fract_x
_atom_site_fract_y
_atom_site_fract_z
_atom_site_occupancy
K1 K 0.125 0.125 0.054 1
K2 K 0.875 0.875 0.946 1
Nd1 Nd 0.000 0.000 0.500 1
Cd1 Cd 0.313 0.313 0.477 1
Cd2 Cd 0.687 0.687 0.523 1
S1 S 0.190 0.190 0.728 1
S2 S 0.475 0.475 0.724 1
S3 S 0.525 0.525 0.276 1
S4 S 0.810 0.810 0.272 1
```

Main lines, by intensity (10 to 90 degrees two-theta):
2θ/deg  I_rel
11.98  100
32.13  46
27.65  44
33.60  28
24.10  18
40.15  18
30.94  15
44.22  14
32.95  12
42.17  12



The following is a simulated powder XRD pattern of Pr7YTl3. It was derived from a structure optimized by DFT (GGA-PBE), using Cu Kα (λ = 1.5418 Å).
No peak broadening, texture or thermal motion is included.

Structure:
```
data_Pr7YTl3
_cell_length_a 8.511
_cell_length_b 8.511
_cell_length_c 6.024
_cell_angle_alpha 110.57
_cell_angle_beta 110.57
_cell_angle_gamma 92.43
_space_group_name_H-M_alt 'P 1'
_space_group_IT_number 1
loop_
_space_group_symop_operation_xyz
'x,y,z'
loop_
_atom_site_label
_atom_site_type_symbol
_atom_site_fract_x
_atom_site_fract_y
_atom_site_fract_z
_atom_site_occupancy
Pr1 Pr 0.000 0.000 0.000 1
Pr2 Pr 0.107 0.534 0.320 1
Pr3 Pr 0.334 0.334 0.835 1
Pr4 Pr 0.466 0.893 0.680 1
Pr5 Pr 0.534 0.107 0.320 1
Pr6 Pr 0.666 0.666 0.165 1
Pr7 Pr 0.893 0.466 0.680 1
Y1 Y 0.000 0.000 0.500 1
Tl1 Tl 0.262 0.738 0.000 1
Tl2 Tl 0.500 0.500 0.500 1
Tl3 Tl 0.738 0.262 0.000 1
```

Main lines, by intensity (10 to 90 degrees two-theta):
2θ/deg  I_rel
29.66  100
33.66  88
33.76  88
29.07  77
31.77  61
42.01  57
55.36  28
11.31  24
55.16  22
57.63  20



The following is a simulated powder XRD pattern of SmErSc2. It was derived from a structure optimized by DFT (GGA-PBE), using Cu Kα (λ = 1.5418 Å).
No peak broadening, texture or thermal motion is included.

Structure:
```
data_SmErSc2
_cell_length_a 3.873
_cell_length_b 3.873
_cell_length_c 7.514
_cell_angle_alpha 90.00
_cell_angle_beta 90.00
_cell_angle_gamma 90.00
_space_group_name_H-M_alt 'P 1'
_space_group_IT_number 1
loop_
_space_group_symop_operation_xyz
'x,y,z'
loop_
_atom_site_label
_atom_site_type_symbol
_atom_site_fract_x
_atom_site_fract_y
_atom_site_fract_z
_atom_site_occupancy
Sm1 Sm 0.000 0.000 0.000 1
Er1 Er 0.000 0.000 0.500 1
Sc1 Sc 0.500 0.500 0.257 1
Sc2 Sc 0.500 0.500 0.743 1
```

Main lines, by intensity (10 to 90 degrees two-theta):
2θ/deg  I_rel
33.22  100
32.70  52
22.96  38
58.70  38
46.92  19
40.77  18
59.69  18
23.68  18
69.75  11
52.86  9



The following is a simulated powder XRD pattern of Pr3Ho7Tm. It was derived from a structure optimized by DFT (GGA-PBE), using Cu Kα (λ = 1.5418 Å).
No peak broadening, texture or thermal motion is included.

Structure:
```
data_Pr3Ho7Tm
_cell_length_a 6.507
_cell_length_b 6.700
_cell_length_c 8.611
_cell_angle_alpha 99.55
_cell_angle_beta 98.27
_cell_angle_gamma 95.33
_space_group_name_H-M_alt 'P 1'
_space_group_IT_number 1
loop_
_space_group_symop_operation_xyz
'x,y,z'
loop_
_atom_site_label
_atom_site_type_symbol
_atom_site_fract_x
_atom_site_fract_y
_atom_site_fract_z
_atom_site_occupancy
Pr1 Pr 0.000 0.000 0.000 1
Pr2 Pr 0.196 0.562 0.166 1
Pr3 Pr 0.804 0.438 0.834 1
Ho1 Ho 0.012 0.769 0.579 1
Ho2 Ho 0.282 0.274 0.787 1
Ho3 Ho 0.437 0.791 0.854 1
Ho4 Ho 0.500 0.500 0.500 1
Ho5 Ho 0.563 0.209 0.146 1
Ho6 Ho 0.718 0.726 0.213 1
Ho7 Ho 0.988 0.231 0.421 1
Tm1 Tm 0.500 0.000 0.500 1
```

Main lines, by intensity (10 to 90 degrees two-theta):
2θ/deg  I_rel
31.98  100
31.46  72
32.36  50
32.20  34
33.00  33
32.48  25
31.53  23
34.58  22
32.85  16
57.76  13



The following is a simulated powder XRD pattern of FeSiC2. It was derived from a structure optimized by DFT (GGA-PBE), using Cu Kα (λ = 1.5418 Å).
No peak broadening, texture or thermal motion is included.

Structure:
```
data_FeSiC2
_cell_length_a 2.890
_cell_length_b 2.890
_cell_length_c 5.414
_cell_angle_alpha 90.00
_cell_angle_beta 90.00
_cell_angle_gamma 120.00
_space_group_name_H-M_alt 'P 1'
_space_group_IT_number 1
loop_
_space_group_symop_operation_xyz
'x,y,z'
loop_
_atom_site_label
_atom_site_type_symbol
_atom_site_fract_x
_atom_site_fract_y
_atom_site_fract_z
_atom_site_occupancy
Fe1 Fe 0.000 0.000 0.000 1
Si1 Si 0.667 0.333 0.375 1
C1 C 0.333 0.667 0.544 1
C2 C 0.333 0.667 0.800 1
```

Main lines, by intensity (10 to 90 degrees two-theta):
2θ/deg  I_rel
39.67  100
49.60  35
16.37  24
33.09  20
64.48  19
63.56  15
35.88  13
78.43  12
80.71  11
74.42  10



The following is a simulated powder XRD pattern of Yb5Al17Fe4Si6. It was derived from a structure optimized by DFT (GGA-PBE), using Cu Kα (λ = 1.5418 Å).
No peak broadening, texture or thermal motion is included.

Structure:
```
data_Yb5Al17Fe4Si6
_cell_length_a 11.529
_cell_length_b 11.529
_cell_length_c 3.999
_cell_angle_alpha 90.00
_cell_angle_beta 90.00
_cell_angle_gamma 90.00
_space_group_name_H-M_alt 'P 1'
_space_group_IT_number 1
loop_
_space_group_symop_operation_xyz
'x,y,z'
loop_
_atom_site_label
_atom_site_type_symbol
_atom_site_fract_x
_atom_site_fract_y
_atom_site_fract_z
_atom_site_occupancy
Yb1 Yb 0.000 0.000 0.000 1
Yb2 Yb 0.256 0.500 0.000 1
Yb3 Yb 0.500 0.256 0.000 1
Yb4 Yb 0.500 0.744 0.000 1
Yb5 Yb 0.744 0.500 0.000 1
Al1 Al 0.113 0.371 0.500 1
Al2 Al 0.113 0.629 0.500 1
Al3 Al 0.204 0.204 0.000 1
Al4 Al 0.204 0.796 0.000 1
Al5 Al 0.331 0.331 0.500 1
Al6 Al 0.331 0.669 0.500 1
Al7 Al 0.371 0.113 0.500 1
Al8 Al 0.371 0.887 0.500 1
Al9 Al 0.500 0.500 0.500 1
Al10 Al 0.629 0.113 0.500 1
Al11 Al 0.629 0.887 0.500 1
Al12 Al 0.669 0.331 0.500 1
Al13 Al 0.669 0.669 0.500 1
Al14 Al 0.796 0.204 0.000 1
Al15 Al 0.796 0.796 0.000 1
Al16 Al 0.887 0.371 0.500 1
Al17 Al 0.887 0.629 0.500 1
Fe1 Fe 0.000 0.295 0.000 1
Fe2 Fe 0.000 0.705 0.000 1
Fe3 Fe 0.295 0.000 0.000 1
Fe4 Fe 0.705 0.000 0.000 1
Si1 Si 0.000 0.179 0.500 1
Si2 Si 0.000 0.500 0.000 1
Si3 Si 0.000 0.821 0.500 1
Si4 Si 0.179 0.000 0.500 1
Si5 Si 0.500 0.000 0.000 1
Si6 Si 0.821 0.000 0.500 1
```

Main lines, by intensity (10 to 90 degrees two-theta):
2θ/deg  I_rel
38.50  100
35.96  84
31.03  45
21.80  45
17.20  40
22.23  37
28.24  35
31.34  32
44.45  30
45.36  29



The following is a simulated powder XRD pattern of OsPdPt5. It was derived from a structure optimized by DFT (GGA-PBE), using Cu Kα (λ = 1.5418 Å).
No peak broadening, texture or thermal motion is included.

Structure:
```
data_OsPdPt5
_cell_length_a 5.491
_cell_length_b 7.611
_cell_length_c 5.551
_cell_angle_alpha 90.00
_cell_angle_beta 90.00
_cell_angle_gamma 90.00
_space_group_name_H-M_alt 'P 1'
_space_group_IT_number 1
loop_
_space_group_symop_operation_xyz
'x,y,z'
loop_
_atom_site_label
_atom_site_type_symbol
_atom_site_fract_x
_atom_site_fract_y
_atom_site_fract_z
_atom_site_occupancy
Os1 Os 0.000 0.000 0.000 1
Os2 Os 0.500 0.500 0.000 1
Pd1 Pd 0.000 0.000 0.500 1
Pd2 Pd 0.500 0.500 0.500 1
Pt1 Pt 0.000 0.500 0.500 1
Pt2 Pt 0.250 0.250 0.238 1
Pt3 Pt 0.250 0.250 0.762 1
Pt4 Pt 0.250 0.750 0.238 1
Pt5 Pt 0.250 0.750 0.762 1
Pt6 Pt 0.500 0.000 0.500 1
Pt7 Pt 0.750 0.250 0.238 1
Pt8 Pt 0.750 0.250 0.762 1
Pt9 Pt 0.750 0.750 0.238 1
Pt10 Pt 0.750 0.750 0.762 1
```

Main lines, by intensity (10 to 90 degrees two-theta):
2θ/deg  I_rel
40.21  100
40.52  99
46.53  66
68.92  42
47.81  31
25.65  30
82.37  26
81.77  25
84.06  13
83.86  12



The following is a simulated powder XRD pattern of CsPu3Br8. It was derived from a structure optimized by DFT (GGA-PBE), using Cu Kα (λ = 1.5418 Å).
No peak broadening, texture or thermal motion is included.

Structure:
```
data_CsPu3Br8
_cell_length_a 7.551
_cell_length_b 7.551
_cell_length_c 9.367
_cell_angle_alpha 90.00
_cell_angle_beta 90.00
_cell_angle_gamma 120.00
_space_group_name_H-M_alt 'P 1'
_space_group_IT_number 1
loop_
_space_group_symop_operation_xyz
'x,y,z'
loop_
_atom_site_label
_atom_site_type_symbol
_atom_site_fract_x
_atom_site_fract_y
_atom_site_fract_z
_atom_site_occupancy
Cs1 Cs 0.000 0.000 0.000 1
Pu1 Pu 0.000 0.000 0.500 1
Pu2 Pu 0.333 0.667 0.592 1
Pu3 Pu 0.667 0.333 0.408 1
Br1 Br 0.072 0.364 0.344 1
Br2 Br 0.293 0.928 0.344 1
Br3 Br 0.333 0.667 0.894 1
Br4 Br 0.364 0.293 0.656 1
Br5 Br 0.636 0.707 0.344 1
Br6 Br 0.667 0.333 0.106 1
Br7 Br 0.707 0.072 0.656 1
Br8 Br 0.928 0.636 0.656 1
```

Main lines, by intensity (10 to 90 degrees two-theta):
2θ/deg  I_rel
23.56  100
30.41  99
41.42  63
28.92  47
31.76  42
25.44  41
46.88  37
16.53  36
40.93  35
33.42  34



The following is a simulated powder XRD pattern of P3Pd7. It was derived from a structure optimized by DFT (GGA-PBE), using Cu Kα (λ = 1.5418 Å).
No peak broadening, texture or thermal motion is included.

Structure:
```
data_P3Pd7
_cell_length_a 7.364
_cell_length_b 7.364
_cell_length_c 7.364
_cell_angle_alpha 109.99
_cell_angle_beta 109.99
_cell_angle_gamma 109.99
_space_group_name_H-M_alt 'P 1'
_space_group_IT_number 1
loop_
_space_group_symop_operation_xyz
'x,y,z'
loop_
_atom_site_label
_atom_site_type_symbol
_atom_site_fract_x
_atom_site_fract_y
_atom_site_fract_z
_atom_site_occupancy
P1 P 0.024 0.400 0.225 1
P2 P 0.225 0.024 0.400 1
P3 P 0.400 0.225 0.024 1
P4 P 0.600 0.775 0.976 1
P5 P 0.775 0.976 0.600 1
P6 P 0.976 0.600 0.775 1
Pd1 Pd 0.087 0.911 0.645 1
Pd2 Pd 0.089 0.355 0.913 1
Pd3 Pd 0.224 0.577 0.655 1
Pd4 Pd 0.302 0.302 0.302 1
Pd5 Pd 0.345 0.776 0.423 1
Pd6 Pd 0.355 0.913 0.089 1
Pd7 Pd 0.423 0.345 0.776 1
Pd8 Pd 0.577 0.655 0.224 1
Pd9 Pd 0.645 0.087 0.911 1
Pd10 Pd 0.655 0.224 0.577 1
Pd11 Pd 0.698 0.698 0.698 1
Pd12 Pd 0.776 0.423 0.345 1
Pd13 Pd 0.911 0.645 0.087 1
Pd14 Pd 0.913 0.089 0.355 1
```

Main lines, by intensity (10 to 90 degrees two-theta):
2θ/deg  I_rel
39.65  100
39.53  75
33.77  72
33.35  47
40.60  42
45.52  34
37.63  28
65.75  21
40.01  20
46.06  19



The following is a simulated powder XRD pattern of La2CeSmN4. It was derived from a structure optimized by DFT (GGA-PBE), using Cu Kα (λ = 1.5418 Å).
No peak broadening, texture or thermal motion is included.

Structure:
```
data_La2CeSmN4
_cell_length_a 6.302
_cell_length_b 3.654
_cell_length_c 6.350
_cell_angle_alpha 90.00
_cell_angle_beta 109.25
_cell_angle_gamma 90.00
_space_group_name_H-M_alt 'P 1'
_space_group_IT_number 1
loop_
_space_group_symop_operation_xyz
'x,y,z'
loop_
_atom_site_label
_atom_site_type_symbol
_atom_site_fract_x
_atom_site_fract_y
_atom_site_fract_z
_atom_site_occupancy
La1 La 0.000 0.000 0.000 1
La2 La 0.500 0.500 0.000 1
Ce1 Ce 0.000 0.500 0.500 1
Sm1 Sm 0.500 0.000 0.500 1
N1 N 0.238 0.000 0.731 1
N2 N 0.247 0.500 0.265 1
N3 N 0.753 0.500 0.735 1
N4 N 0.762 0.000 0.269 1
```

Main lines, by intensity (10 to 90 degrees two-theta):
2θ/deg  I_rel
29.99  100
34.68  67
49.79  35
29.81  34
34.78  33
59.37  31
50.09  23
59.11  16
62.28  12
49.92  12